(1)
This entry pairs a crystal structure of CdAg2HF6 with its simulated XRD peak list. Radiation: Cu Ka. Structure: the PBE geometry in Alexandria.

Top 8 peaks for 10 to 80 degrees two-theta, low angle first:
h k l	d_spacing	I/Imax
0 1 1	4.237	62
1 0 2	3.059	45
1 1 1	3.016	100
2 0 -2	2.989	29
2 1 -1	2.442	28
1 2 -4	1.843	43
2 2 -2	1.827	23
3 0 0	1.739	22

Crystal structure
```
data_CdAg2HF6
_cell_length_a 5.978
_cell_length_b 4.616
_cell_length_c 12.237
_cell_angle_alpha 90.00
_cell_angle_beta 119.19
_cell_angle_gamma 90.00
_symmetry_space_group_name_H-M 'P 1 21/c 1'
_symmetry_Int_Tables_number 14
_symmetry_space_group_name_Hall '-P 2ybc'
loop_
_atom_site_label
_atom_site_type_symbol
_atom_site_fract_x
_atom_site_fract_y
_atom_site_fract_z
Cd1 Cd 0.000 0.000 0.000
Ag1 Ag 0.316 0.001 0.815
H1 H 0.500 0.000 0.500
F1 F 0.017 0.715 0.343
F2 F 0.330 0.716 0.657
F3 F 0.383 0.202 0.500
```

=====

(2)
This entry pairs a crystal structure of KCd2AgF8 with its simulated XRD peak list. Radiation: Cu Ka. Structure: the PBE geometry in Alexandria.

Top 8 peaks for 10 to 80 degrees two-theta, low angle first:
h k l	d_spacing	I/Imax
1 0 -1	3.947	100
1 0 1	3.735	83
0 2 1	2.998	55
1 2 0	2.941	59
1 2 -2	2.062	33
2 2 -1	2.007	35
1 2 2	1.999	28
2 2 1	1.949	27

Crystal structure
```
data_KCd2AgF8
_cell_length_a 5.268
_cell_length_b 7.096
_cell_length_c 5.617
_cell_angle_alpha 90.00
_cell_angle_beta 93.17
_cell_angle_gamma 90.00
_symmetry_space_group_name_H-M 'P 1 2/m 1'
_symmetry_Int_Tables_number 10
_symmetry_space_group_name_Hall '-P 2y'
loop_
_atom_site_label
_atom_site_type_symbol
_atom_site_fract_x
_atom_site_fract_y
_atom_site_fract_z
K1 K 0.000 0.000 0.000
Cd1 Cd 0.500 0.256 0.500
Ag1 Ag 0.000 0.500 0.000
F1 F 0.201 0.302 0.174
F2 F 0.304 0.500 0.662
F3 F 0.328 0.000 0.665
```

=====

(3)
This entry pairs a crystal structure of KCdAgF4 with its simulated XRD peak list. Radiation: Cu Ka. Structure: the PBE geometry in Alexandria.

Top 8 peaks for 10 to 80 degrees two-theta, low angle first:
h k l	d_spacing	I/Imax
0 0 1	6.469	55
1 1 0	4.299	80
2 0 -1	3.286	55
1 1 1	3.176	100
0 2 0	3.078	66
1 1 -2	3.050	79
2 2 -1	2.246	61
0 0 3	2.156	34

Crystal structure
```
data_KCdAgF4
_cell_length_a 6.584
_cell_length_b 6.156
_cell_length_c 7.092
_cell_angle_alpha 90.00
_cell_angle_beta 114.20
_cell_angle_gamma 90.00
_symmetry_space_group_name_H-M 'C 1 m 1'
_symmetry_Int_Tables_number 8
_symmetry_space_group_name_Hall 'C -2y'
loop_
_atom_site_label
_atom_site_type_symbol
_atom_site_fract_x
_atom_site_fract_y
_atom_site_fract_z
K1 K 0.000 0.000 0.000
Cd1 Cd 0.104 0.500 0.291
Ag1 Ag 0.350 0.000 0.603
F1 F 0.226 0.500 0.631
F2 F 0.335 0.238 0.286
F3 F 0.410 0.000 0.943
```

=====

(4)
This entry pairs a crystal structure of KCd4Ag3F12 with its simulated XRD peak list. Radiation: Cu Ka. Structure: the PBE geometry in Alexandria.

Top 8 peaks for 10 to 80 degrees two-theta, low angle first:
h k l	d_spacing	I/Imax
1 1 0	6.123	4
2 1 1	3.535	4
2 2 0	3.061	100
4 0 0	2.165	29
4 2 2	1.768	49
4 4 0	1.531	15
6 0 2	1.369	17
4 4 4	1.250	5

Crystal structure
```
data_KCd4Ag3F12
_cell_length_a 8.659
_cell_length_b 8.659
_cell_length_c 8.659
_cell_angle_alpha 90.00
_cell_angle_beta 90.00
_cell_angle_gamma 90.00
_symmetry_space_group_name_H-M 'I m -3'
_symmetry_Int_Tables_number 204
_symmetry_space_group_name_Hall '-I 2 2 3'
loop_
_atom_site_label
_atom_site_type_symbol
_atom_site_fract_x
_atom_site_fract_y
_atom_site_fract_z
K1 K 0.000 0.000 0.000
Cd1 Cd 0.250 0.250 0.250
Ag1 Ag 0.000 0.000 0.500
F1 F 0.000 0.186 0.293
```

=====

(5)
This entry pairs a crystal structure of Li2CdAgF6 with its simulated XRD peak list. Radiation: Cu Ka. Structure: the PBE geometry in Alexandria.

Top 8 peaks for 10 to 80 degrees two-theta, low angle first:
h k l	d_spacing	I/Imax
2 0 0	5.261	100
0 2 1	3.574	50
2 2 -1	3.222	65
0 0 2	2.769	23
2 2 1	2.747	36
4 2 -1	2.315	27
4 0 -2	2.221	30
0 4 2	1.787	20

Crystal structure
```
data_Li2CdAgF6
_cell_length_a 10.908
_cell_length_b 9.358
_cell_length_c 5.740
_cell_angle_alpha 90.00
_cell_angle_beta 105.29
_cell_angle_gamma 90.00
_symmetry_space_group_name_H-M 'C 1 2/c 1'
_symmetry_Int_Tables_number 15
_symmetry_space_group_name_Hall '-C 2yc'
loop_
_atom_site_label
_atom_site_type_symbol
_atom_site_fract_x
_atom_site_fract_y
_atom_site_fract_z
Li1 Li 0.208 0.097 0.221
Cd1 Cd 0.000 0.405 0.250
Ag1 Ag 0.000 0.133 0.750
F1 F 0.109 0.255 0.062
F2 F 0.120 0.421 0.628
F3 F 0.127 0.027 0.457
```